[1]
Starting from a crystal structure in the Materials Project, relaxed with PBE, the powder XRD pattern of Sr4MgS4O16 was calculated for λ = 1.5418 Å (Cu Kα).
Lines closer than 0.1° are merged.

Structure:
Cell lengths 4.688, 5.225, 17.498 Å; angles 90.00, 91.84, 90.00 degrees
Fractional coordinates of all 25 atoms:
Sr 0.000 0.000 0.000
Sr 0.011 0.000 0.598
Sr 0.527 0.500 0.240
Sr 0.554 0.500 0.837
Mg 0.505 0.000 0.417
S 0.111 0.000 0.813
S 0.443 0.500 0.025
S 0.574 0.500 0.616
S 0.965 0.000 0.221
O 0.021 0.233 0.856
O 0.021 0.767 0.856
O 0.048 0.000 0.140
O 0.071 0.237 0.260
O 0.071 0.763 0.260
O 0.126 0.500 0.025
O 0.428 0.000 0.811
O 0.466 0.262 0.576
O 0.466 0.738 0.576
O 0.492 0.500 0.696
O 0.534 0.267 0.981
O 0.534 0.733 0.981
O 0.571 0.500 0.102
O 0.645 0.000 0.226
O 0.892 0.500 0.609
O 0.981 0.000 0.735

Largest 10 diffraction maxima, in order of rising 2θ, 2θ from 10° to 90°:
two_theta	d_spacing	I/Imax	(hkl)
15.20	5.830	29	0 0 3
25.51	3.492	100	0 0 5
26.17	3.405	11	1 1 1
30.17	2.962	11	1 1 3
30.76	2.907	10	0 1 5
34.33	2.612	17	0 2 0
35.92	2.500	15	1 1 -5
38.42	2.343	19	2 0 0
41.04	2.199	11	1 2 2
43.23	2.093	15	0 2 5

---

[2]
Starting from a crystal structure in the Materials Project, relaxed with PBE, the powder XRD pattern of Sr4MgS4O16 was calculated for λ = 1.5418 Å (Cu Kα).
Lines closer than 0.1° are merged.

Structure:
Cell lengths 4.718, 5.215, 17.242 Å; angles 90.00, 90.66, 90.00 degrees
Fractional coordinates of all 25 atoms:
Sr 0.000 0.000 0.000
Sr 0.027 0.000 0.590
Sr 0.474 0.500 0.748
Sr 0.570 0.500 0.159
Mg 0.286 0.500 0.353
S 0.118 0.000 0.185
S 0.435 0.500 0.966
S 0.581 0.500 0.554
S 0.916 0.000 0.774
O 0.009 0.232 0.727
O 0.009 0.768 0.727
O 0.029 0.233 0.137
O 0.029 0.767 0.137
O 0.040 0.000 0.851
O 0.120 0.500 0.964
O 0.435 0.000 0.186
O 0.449 0.500 0.477
O 0.495 0.266 0.600
O 0.495 0.734 0.600
O 0.532 0.267 0.010
O 0.532 0.733 0.010
O 0.551 0.500 0.887
O 0.601 0.000 0.773
O 0.898 0.500 0.551
O 0.993 0.000 0.261

Largest 10 diffraction maxima, in order of rising 2θ, 2θ from 10° to 90°:
two_theta	d_spacing	I/Imax	(hkl)
10.26	8.620	77	0 0 2
25.46	3.498	100	1 1 0
25.84	3.448	47	0 0 5
31.10	2.876	23	0 1 5
34.40	2.607	25	0 2 0
36.45	2.465	27	0 0 7
38.15	2.359	22	2 0 0
42.54	2.125	14	1 2 -3
43.52	2.080	17	0 2 5
44.84	2.021	16	1 1 -7